Starting from a PBE-relaxed structure, the powder XRD pattern of Na3IrF8 was calculated for Cu Kα.

Principal peaks in the range 15° ≤ 2θ ≤ 90°, low angle first:
hkl 1 0 0, 2θ = 16.71°, I 100.0
hkl 1 1 0, 2θ = 23.71°, I 67.2
hkl 1 1 1, 2θ = 29.15°, I 65.9
hkl 2 1 0, 2θ = 37.92°, I 27.2
hkl 2 1 1, 2θ = 41.70°, I 28.0
hkl 2 2 0, 2θ = 48.53°, I 52.5
hkl 2 2 1, 2θ = 51.68°, I 21.9
hkl 3 1 1, 2θ = 57.62°, I 27.8
hkl 3 2 0, 2θ = 63.18°, I 16.6
hkl 3 2 1, 2θ = 65.86°, I 18.0

Structural model:
```
Na3IrF8
1.0
5.306 0.000 0.000
0.000 5.306 0.000
0.000 0.000 5.306
Na Ir F
3 1 8
Cartesian
0.000 0.000 2.653
0.000 2.653 0.000
2.653 0.000 0.000
2.653 2.653 2.653
1.476 1.476 1.476
1.476 1.476 3.830
1.476 3.830 1.476
1.476 3.830 3.830
3.830 1.476 1.476
3.830 1.476 3.830
3.830 3.830 1.476
3.830 3.830 3.830
```